Structure and calculated X-ray diffraction stick pattern of V3Cr3W2O16 (a GGA+U-relaxed structure; Cu Kα (λ = 1.5418 Å)).
Lines closer than 0.1° are merged.

Top 10 peaks for 2θ from 10° to 90°, low angle first:
19.47 deg, I 100, (0 1 -1); 19.55 deg, I 33, (0 1 1); 19.72 deg, I 66, (1 1 -1); 25.98 deg, I 19, (1 1 -2); 33.60 deg, I 20, (1 0 3); 34.04 deg, I 20, (1 0 -3); 35.52 deg, I 27, (2 1 2); 35.60 deg, I 21, (1 2 -2); 35.74 deg, I 28, (-1 1 2); 36.03 deg, I 25, (2 1 -2)

Structural model:
```
V3Cr3W2O16
1.0
5.9863 0.0000 0.0000
2.9817 5.2338 0.0000
0.1463 -0.0680 9.2407
V Cr W O
3 3 2 16
direct
0.0000 0.0000 0.0000 V
0.0068 0.5057 0.0073 V
0.1717 0.1725 0.5103 V
0.4936 0.5065 0.9943 Cr
0.6601 0.1720 0.4954 Cr
0.6607 0.6799 0.4960 Cr
0.1720 0.6735 0.2809 W
0.5089 0.9997 0.7793 W
0.0093 0.9881 0.3829 O
0.0126 0.5140 0.3857 O
0.1548 0.6617 0.8949 O
0.1912 0.1597 0.8851 O
0.3072 0.3847 0.1292 O
0.3116 0.8073 0.1285 O
0.3518 0.8669 0.6321 O
0.3545 0.2919 0.6318 O
0.4771 0.0163 0.3955 O
0.4872 0.5114 0.3825 O
0.6596 0.1646 0.8811 O
0.6611 0.6871 0.8817 O
0.7812 0.8665 0.6247 O
0.8347 0.3477 0.0868 O
0.8428 0.3344 0.5877 O
0.8813 0.8057 0.1350 O
```